No. 1
# RbTlB
Theoretical X-ray powder pattern, Cu Kα, 1.54184 Å. Input: a GGA-PBE-relaxed structure.

Largest 10 diffraction maxima, by angle, 10 to 80 degrees two-theta:
(0 1 0), 13.43 deg, I = 84; (0 0 2), 23.95 deg, I = 72; (0 2 1), 24.20 deg, I = 82; (1 1 0), 30.57 deg, I = 100; (0 1 3), 32.49 deg, I = 36; (0 2 3), 34.31 deg, I = 63; (1 1 2), 35.12 deg, I = 61; (1 1 -2), 42.96 deg, I = 32; (1 3 1), 46.74 deg, I = 29; (1 3 3), 50.04 deg, I = 20

Atomic structure:
a b c (Å): 3.263 7.356 8.291
angles (deg): 63.67 89.96 89.90
Space group P1 (No. 1)
Unique sites:
Rb 0.000 0.000 0.000 (multiplicity 1)
Rb 0.000 0.301 0.397 (multiplicity 1)
Tl 0.500 0.502 0.925 (multiplicity 1)
Tl 0.500 0.727 0.472 (multiplicity 1)
B 0.238 0.874 0.698 (multiplicity 1)
B 0.727 0.875 0.698 (multiplicity 1)

=====

No. 2
# RbZr2TlB
Theoretical X-ray powder pattern, Cu Kα, 1.54184 Å. Input: a GGA-PBE-relaxed structure.

Largest 10 diffraction maxima, by angle, 10 to 80 degrees two-theta:
(1 0 0), 15.46 deg, I = 32; (0 0 1), 20.88 deg, I = 47; (1 0 1), 26.09 deg, I = 100; (2 0 0), 31.21 deg, I = 96; (2 0 1), 37.85 deg, I = 42; (2 1 1), 41.12 deg, I = 61; (0 0 2), 42.50 deg, I = 20; (2 2 0), 44.73 deg, I = 35; (2 0 2), 53.66 deg, I = 41; (2 2 2), 63.40 deg, I = 25

Atomic structure:
a b c (Å): 5.731 5.731 4.254
angles (deg): 90.00 90.00 90.00
Space group P4/mmm (No. 123)
Unique sites:
Rb 0.000 0.000 0.000 (multiplicity 1)
Zr 0.000 0.500 0.500 (multiplicity 2)
Tl 0.500 0.500 0.500 (multiplicity 1)
B 0.500 0.500 0.000 (multiplicity 1)

=====

No. 3
# Re3B
Theoretical X-ray powder pattern, Cu Kα, 1.54184 Å. Input: a GGA-PBE-relaxed structure.

Largest 10 diffraction maxima, by angle, 10 to 80 degrees two-theta:
(2 0 1), 27.12 deg, I = 20; (1 3 1), 35.91 deg, I = 42; (3 2 1), 39.66 deg, I = 100; (3 3 0), 40.59 deg, I = 20; (1 1 2), 41.63 deg, I = 54; (4 2 0), 42.89 deg, I = 34; (4 0 1), 43.14 deg, I = 20; (1 4 1), 44.25 deg, I = 65; (3 1 2), 50.17 deg, I = 23; (5 3 2), 71.39 deg, I = 41

Atomic structure:
a b c (Å): 9.430 9.430 4.588
angles (deg): 90.00 90.00 90.00
Space group P4_2/n (No. 86, origin choice 2)
Unique sites:
Re 0.026 0.919 0.241 (multiplicity 8)
Re 0.113 0.278 0.489 (multiplicity 8)
Re 0.138 0.828 0.750 (multiplicity 8)
B 0.040 0.294 0.998 (multiplicity 8)

=====

No. 4
# Re4B
Theoretical X-ray powder pattern, Cu Kα, 1.54184 Å. Input: a GGA-PBE-relaxed structure.

Largest 10 diffraction maxima, by angle, 10 to 80 degrees two-theta:
(0 2 2), 35.37 deg, I = 28; (4 0 0), 39.70 deg, I = 38; (2 4 0), 40.63 deg, I = 56; (2 2 2), 40.73 deg, I = 100; (4 2 2), 54.19 deg, I = 24; (0 6 2), 63.35 deg, I = 18; (6 4 0), 72.72 deg, I = 28; (4 6 2), 77.41 deg, I = 19; (4 0 4), 77.62 deg, I = 10; (2 4 4), 78.24 deg, I = 15

Atomic structure:
a b c (Å): 9.082 10.183 5.854
angles (deg): 90.00 90.00 90.00
Space group Fdd2 (No. 43)
Unique sites:
Re 0.118 0.178 0.000 (multiplicity 16)
Re 0.123 0.161 0.529 (multiplicity 16)
B 0.000 0.000 0.021 (multiplicity 8)

=====

No. 5
# ReB5
Theoretical X-ray powder pattern, Cu Kα, 1.54184 Å. Input: a GGA-PBE-relaxed structure.

Largest 10 diffraction maxima, by angle, 10 to 80 degrees two-theta:
(0 2 0), 18.86 deg, I = 100; (1 1 0), 26.16 deg, I = 93; (0 0 1), 32.64 deg, I = 29; (1 3 0), 37.80 deg, I = 41; (0 2 1), 37.97 deg, I = 42; (0 4 0), 38.26 deg, I = 22; (1 1 1), 42.30 deg, I = 59; (1 3 1), 50.79 deg, I = 49; (2 2 1), 64.39 deg, I = 18; (1 5 1), 65.33 deg, I = 16

Atomic structure:
a b c (Å): 3.654 9.410 2.743
angles (deg): 90.00 90.00 90.00
Space group Cmmm (No. 65)
Unique sites:
Re 0.000 0.000 0.000 (multiplicity 2)
B 0.000 0.212 0.500 (multiplicity 4)
B 0.000 0.343 0.000 (multiplicity 4)
B 0.000 0.500 0.500 (multiplicity 2)

=====

No. 6
# Re2B
Theoretical X-ray powder pattern, Cu Kα, 1.54184 Å. Input: a GGA-PBE-relaxed structure.

Largest 10 diffraction maxima, by angle, 10 to 80 degrees two-theta:
(1 1 3), 28.37 deg, I = 15; (1 1 5), 36.71 deg, I = 65; (1 3 1), 39.75 deg, I = 100; (2 0 2), 41.30 deg, I = 60; (0 2 6), 41.51 deg, I = 61; (1 3 3), 43.13 deg, I = 25; (1 1 7), 46.82 deg, I = 35; (2 2 4), 51.86 deg, I = 31; (3 3 1), 71.90 deg, I = 18; (0 0 12), 72.85 deg, I = 31

Atomic structure:
a b c (Å): 4.555 7.957 15.590
angles (deg): 90.00 90.00 90.00
Space group Fddd (No. 70, origin choice 2)
Unique sites:
Re 0.125 0.125 0.042 (multiplicity 16)
Re 0.125 0.294 0.625 (multiplicity 16)
B 0.125 0.125 0.501 (multiplicity 16)